# 1
The following is a simulated X-ray powder pattern of SrCaAl. It was derived from a DFT-relaxed cell (GGA-PBE, Alexandria), using copper Kα.
Kinematic intensities with the Lorentz-polarization factor, no thermal factor.

Largest 10 diffraction maxima, sorted by position, 10 to 80 degrees two-theta:
d_spacing, Rel. int.
3.724, 443
3.473, 204
2.967, 1000
2.733, 516
2.256, 191
2.148, 211
1.933, 180
1.766, 199
1.619, 311
1.467, 204

Atomic structure:
```
SrCaAl
1.0
-1.933 1.933 6.946
1.933 -1.933 6.946
1.933 1.933 -6.946
Sr Ca Al
1 1 1
Cartesian
0.000 0.000 0.000
0.000 0.000 3.758
0.000 0.000 8.979
```

# 2
The following is a simulated X-ray powder pattern of UZnP2N6. It was derived from a DFT-relaxed cell (GGA-PBE, Alexandria), using copper Kα.
Kinematic intensities with the Lorentz-polarization factor, no thermal factor.

Largest 10 diffraction maxima, sorted by position, 10 to 80 degrees two-theta:
d_spacing, Rel. int.
6.899, 581
4.749, 739
4.273, 315
3.468, 605
3.041, 1000
3.019, 291
2.610, 645
2.399, 299
2.220, 287
2.123, 343

Atomic structure:
```
UZnP2N6
1.0
4.869 -5.020 0.000
4.869 5.020 0.000
-1.084 0.000 4.798
U Zn P N
2 2 4 12
Cartesian
4.056 3.752 3.599
4.598 -3.752 1.200
4.598 1.626 1.200
4.056 -1.626 3.599
2.161 0.790 3.408
2.703 -0.790 1.009
5.950 0.790 3.789
6.493 -0.790 1.390
0.526 0.847 3.077
2.757 2.119 4.127
1.068 -0.847 0.678
2.928 0.554 1.954
2.386 -0.554 4.353
5.354 2.119 3.071
3.299 -2.119 1.727
6.267 0.554 0.446
5.725 -0.554 2.845
7.585 0.847 4.121
5.897 -2.119 0.672
8.127 -0.847 1.722
```

# 3
The following is a simulated X-ray powder pattern of Li5Ag5Hg2. It was derived from a DFT-relaxed cell (GGA-PBE, Alexandria), using copper Kα.
Kinematic intensities with the Lorentz-polarization factor, no thermal factor.

Largest 10 diffraction maxima, sorted by position, 10 to 80 degrees two-theta:
d_spacing, Rel. int.
6.540, 400
3.956, 435
3.269, 300
3.247, 578
2.907, 406
2.319, 419
2.306, 1000
2.302, 868
2.273, 431
1.318, 292

Atomic structure:
```
Li5Ag5Hg2
1.0
6.932 -2.273 0.000
6.932 2.273 0.000
-4.618 0.000 6.561
Li Ag Hg
5 5 2
Cartesian
0.000 0.000 0.000
-0.760 0.000 2.668
2.346 0.000 1.596
6.899 0.000 4.966
10.005 0.000 3.893
1.492 0.000 4.238
5.534 0.000 0.512
4.623 0.000 3.281
3.711 0.000 6.050
7.753 0.000 2.324
-1.524 0.000 5.324
10.770 0.000 1.238
```

# 4
The following is a simulated X-ray powder pattern of Er4TlCd2In. It was derived from a DFT-relaxed cell (GGA-PBE, Alexandria), using copper Kα.
Kinematic intensities with the Lorentz-polarization factor, no thermal factor.

Largest 10 diffraction maxima, sorted by position, 10 to 80 degrees two-theta:
d_spacing, Rel. int.
8.615, 10
4.494, 9
4.304, 11
3.727, 11
3.421, 6
2.636, 1000
2.248, 7
1.864, 180
1.522, 370
1.318, 114

Atomic structure:
```
Er4TlCd2In
1.0
2.635 1.521 8.615
-2.635 1.521 8.615
0.000 -3.042 8.615
Er Tl Cd In
4 1 2 1
Cartesian
0.000 0.000 3.224
0.000 0.000 9.687
0.000 0.000 16.159
0.000 0.000 22.623
0.000 0.000 12.923
0.000 0.000 6.493
0.000 0.000 19.353
0.000 0.000 0.000
```

Copy entry 2 word for word.
The following is a simulated X-ray powder pattern of UZnP2N6. It was derived from a DFT-relaxed cell (GGA-PBE, Alexandria), using copper Kα.
Kinematic intensities with the Lorentz-polarization factor, no thermal factor.

Largest 10 diffraction maxima, sorted by position, 10 to 80 degrees two-theta:
d_spacing, Rel. int.
6.899, 581
4.749, 739
4.273, 315
3.468, 605
3.041, 1000
3.019, 291
2.610, 645
2.399, 299
2.220, 287
2.123, 343

Atomic structure:
```
UZnP2N6
1.0
4.869 -5.020 0.000
4.869 5.020 0.000
-1.084 0.000 4.798
U Zn P N
2 2 4 12
Cartesian
4.056 3.752 3.599
4.598 -3.752 1.200
4.598 1.626 1.200
4.056 -1.626 3.599
2.161 0.790 3.408
2.703 -0.790 1.009
5.950 0.790 3.789
6.493 -0.790 1.390
0.526 0.847 3.077
2.757 2.119 4.127
1.068 -0.847 0.678
2.928 0.554 1.954
2.386 -0.554 4.353
5.354 2.119 3.071
3.299 -2.119 1.727
6.267 0.554 0.446
5.725 -0.554 2.845
7.585 0.847 4.121
5.897 -2.119 0.672
8.127 -0.847 1.722
```